Theoretical PXRD pattern
Compound: Ba3Zn4Ge4
Radiation: Cu Kα (weighted mean of Kα1 and Kα2)
Structure: the PBE geometry in OQMD
Peak positions follow from Bragg's law for the DFT cell and can differ from measured ones.

Atomic structure:
a = 13.3442 Å, b = 13.3442 Å, c = 4.8020 Å
α = 100.35°, β = 100.35°, γ = 19.35°
Fractional coordinates of all 11 atoms:
Ba1 0.0000 0.0000 0.0000
Ba2 0.3483 0.3483 0.8485
Ba3 0.6517 0.6517 0.1515
Zn1 0.0967 0.0967 0.5965
Zn2 0.2516 0.2516 0.2512
Zn3 0.7484 0.7484 0.7488
Zn4 0.9033 0.9033 0.4035
Ge1 0.1964 0.1964 0.6952
Ge2 0.4497 0.4497 0.4495
Ge3 0.5503 0.5503 0.5505
Ge4 0.8036 0.8036 0.3048

Top 12 peaks for 15 to 90 degrees two-theta, sorted by position:
- 2θ = 28.08°, intensity 15
- 2θ = 30.56°, intensity 100
- 2θ = 37.15°, intensity 16
- 2θ = 37.46°, intensity 24
- 2θ = 40.22°, intensity 20
- 2θ = 43.45°, intensity 13
- 2θ = 49.60°, intensity 10
- 2θ = 51.32°, intensity 17
- 2θ = 53.78°, intensity 11
- 2θ = 56.12°, intensity 15
- 2θ = 58.68°, intensity 11
- 2θ = 63.34°, intensity 12